This entry pairs a crystal structure of DyAgPdRh with its calculated powder XRD pattern. Radiation: Cu Kα (weighted mean of Kα1 and Kα2). Structure: a cell relaxed with PBE.

Atomic structure:
```
data_DyAgPdRh
_cell_length_a 3.8854
_cell_length_b 4.2035
_cell_length_c 4.3607
_cell_angle_alpha 90.00
_cell_angle_beta 90.00
_cell_angle_gamma 90.00
_space_group_name_H-M_alt 'P m m m'
_space_group_IT_number 47
loop_
_space_group_symop_operation_xyz
'x,y,z'
'-x,-y,-z'
'-x,-y,z'
'x,y,-z'
'x,-y,-z'
'-x,y,z'
'-x,y,-z'
'x,-y,z'
loop_
_atom_site_label
_atom_site_type_symbol
_atom_site_fract_x
_atom_site_fract_y
_atom_site_fract_z
Dy1 Dy 0.0000 0.0000 0.0000
Ag1 Ag 0.0000 0.5000 0.5000
Pd1 Pd 0.5000 0.0000 0.5000
Rh1 Rh 0.5000 0.5000 0.0000
```

Top 12 peaks for 5° ≤ 2θ ≤ 70°, most intense first:
37.7°, I = 100.0, hkl 1 1 1
41.4°, I = 19.1, hkl 0 0 2
43.0°, I = 17.1, hkl 0 2 0
46.8°, I = 13.4, hkl 2 0 0
61.3°, I = 11.8, hkl 0 2 2
64.2°, I = 10.2, hkl 2 0 2
65.4°, I = 9.6, hkl 2 2 0
29.5°, I = 1.4, hkl 0 1 1
22.9°, I = 1.2, hkl 1 0 0
21.1°, I = 1.1, hkl 0 1 0
20.4°, I = 1.0, hkl 0 0 1
30.8°, I = 0.9, hkl 1 0 1